For Ac2PaSb3, DFT lattice parameters and positions (GGA-PBE) gives the theoretical powder diffraction line list in this record (Cu Kα).

Unit cell a=15.3776 b=14.6597 c=8.0516 alpha=79.44 beta=69.58 gamma=30.98
Element x y z (fractional)
Ac: 0.0440 0.0440 0.2060
Ac: 0.1220 0.1220 0.6280
Ac: 0.2060 0.2060 0.0440
Ac: 0.3720 0.3720 0.8780
Ac: 0.6280 0.6280 0.1220
Ac: 0.7940 0.7940 0.9560
Ac: 0.8780 0.8780 0.3720
Ac: 0.9560 0.9560 0.7940
Pa: 0.2913 0.2913 0.4587
Pa: 0.4587 0.4587 0.2913
Pa: 0.5413 0.5413 0.7087
Pa: 0.7087 0.7087 0.5413
Sb: 0.0365 0.5392 0.2336
Sb: 0.1475 0.6025 0.6025
Sb: 0.2336 0.6906 0.0365
Sb: 0.3094 0.7664 0.4608
Sb: 0.3975 0.8525 0.8525
Sb: 0.4608 0.9635 0.3094
Sb: 0.5392 0.0365 0.6906
Sb: 0.6025 0.1475 0.1475
Sb: 0.6906 0.2336 0.5392
Sb: 0.7664 0.3094 0.9635
Sb: 0.8525 0.3975 0.3975
Sb: 0.9635 0.4608 0.7664

Peak list (10 most intense, 2θ = 5–70°, sorted by position)
| d (Å) | I_rel |
| --- | --- |
| 3.792 | 17 |
| 3.284 | 100 |
| 2.323 | 64 |
| 2.317 | 13 |
| 1.982 | 7 |
| 1.898 | 14 |
| 1.894 | 14 |
| 1.642 | 13 |
| 1.470 | 6 |
| 1.469 | 23 |

---

For Cs2DyPbBr6, DFT lattice parameters and positions (GGA-PBE) gives the theoretical powder diffraction line list in this record (Cu Kα).

Unit cell a=7.6365 b=7.9925 c=8.2736 alpha=116.40 beta=105.38 gamma=91.82
Element x y z (fractional)
Cs: 0.2201 0.2152 0.4363
Cs: 0.7799 0.7848 0.5637
Dy: 0.0000 0.5000 0.0000
Pb: 0.5000 0.0000 0.0000
Br: 0.1806 0.1842 0.8712
Br: 0.1870 0.6615 0.8362
Br: 0.2723 0.6854 0.3517
Br: 0.7277 0.3146 0.6483
Br: 0.8130 0.3385 0.1638
Br: 0.8194 0.8158 0.1288

Peak list (10 most intense, 2θ = 5–70°, sorted by position)
| d (Å) | I_rel |
| --- | --- |
| 4.670 | 100 |
| 4.108 | 51 |
| 3.992 | 36 |
| 3.944 | 71 |
| 3.645 | 60 |
| 2.879 | 41 |
| 2.780 | 70 |
| 2.676 | 59 |
| 2.417 | 36 |
| 2.335 | 32 |

---

For SiP2Au2, DFT lattice parameters and positions (GGA-PBE) gives the theoretical powder diffraction line list in this record (Cu Kα).

Unit cell a=3.6259 b=3.6259 c=14.6669 alpha=90.00 beta=90.00 gamma=90.00
Element x y z (fractional)
Si: 0.2500 0.2500 0.1572
Si: 0.7500 0.7500 0.8428
P: 0.2500 0.2500 0.7983
P: 0.2500 0.7500 0.5000
P: 0.7500 0.2500 0.5000
P: 0.7500 0.7500 0.2017
Au: 0.2500 0.2500 0.6396
Au: 0.2500 0.7500 0.0000
Au: 0.7500 0.2500 0.0000
Au: 0.7500 0.7500 0.3604

Peak list (10 most intense, 2θ = 5–70°, sorted by position)
| d (Å) | I_rel |
| --- | --- |
| 14.667 | 51 |
| 7.333 | 71 |
| 4.889 | 94 |
| 3.520 | 56 |
| 3.250 | 76 |
| 2.526 | 69 |
| 2.420 | 76 |
| 2.101 | 100 |
| 1.813 | 42 |
| 1.622 | 34 |

---

For Hf5Sc2, DFT lattice parameters and positions (GGA-PBE) gives the theoretical powder diffraction line list in this record (Cu Kα).

Unit cell a=3.1041 b=5.5014 c=10.3082 alpha=74.87 beta=81.44 gamma=73.82
Element x y z (fractional)
Hf: 0.0000 0.0000 0.0000
Hf: 0.2319 0.4080 0.1287
Hf: 0.4711 0.7859 0.2763
Hf: 0.5289 0.2141 0.7237
Hf: 0.7681 0.5920 0.8713
Sc: 0.1434 0.2721 0.4358
Sc: 0.8566 0.7279 0.5642

Peak list (10 most intense, 2θ = 5–70°, sorted by position)
| d (Å) | I_rel |
| --- | --- |
| 9.917 | 100 |
| 2.781 | 46 |
| 2.641 | 49 |
| 2.529 | 76 |
| 2.464 | 73 |
| 2.456 | 34 |
| 2.249 | 27 |
| 2.242 | 27 |
| 1.498 | 18 |
| 1.356 | 14 |

---

For CrHg2S, DFT lattice parameters and positions (GGA-PBE) gives the theoretical powder diffraction line list in this record (Cu Kα).

Unit cell a=7.2790 b=7.2790 c=7.2790 alpha=95.35 beta=95.35 gamma=144.46
Element x y z (fractional)
Cr: 0.0000 0.0000 0.0000
Cr: 0.7500 0.2500 0.5000
Hg: 0.0196 0.6250 0.8946
Hg: 0.3750 0.2696 0.3946
Hg: 0.7304 0.1250 0.1054
Hg: 0.8750 0.9804 0.6054
S: 0.2500 0.7500 0.5000
S: 0.5000 0.5000 0.0000

Peak list (10 most intense, 2θ = 5–70°, sorted by position)
| d (Å) | I_rel |
| --- | --- |
| 4.901 | 36 |
| 4.047 | 36 |
| 3.466 | 23 |
| 3.121 | 100 |
| 3.100 | 57 |
| 2.319 | 70 |
| 2.116 | 37 |
| 2.096 | 19 |
| 1.922 | 33 |
| 1.646 | 23 |

---

For HfCdGeO5, DFT lattice parameters and positions (GGA-PBE) gives the theoretical powder diffraction line list in this record (Cu Kα).

Unit cell a=5.8527 b=5.8527 c=7.7595 alpha=107.67 beta=107.67 gamma=98.21
Element x y z (fractional)
Hf: 0.0000 0.0000 0.0000
Hf: 0.0000 0.0000 0.5000
Cd: 0.3164 0.6836 0.7500
Cd: 0.6836 0.3164 0.2500
Ge: 0.3413 0.6587 0.2500
Ge: 0.6587 0.3413 0.7500
O: 0.0733 0.9267 0.7500
O: 0.1910 0.7326 0.4179
O: 0.2674 0.8090 0.0821
O: 0.2834 0.3322 0.1299
O: 0.3322 0.2834 0.6299
O: 0.6678 0.7166 0.3701
O: 0.7166 0.6678 0.8701
O: 0.7326 0.1910 0.9179
O: 0.8090 0.2674 0.5821
O: 0.9267 0.0733 0.2500

Peak list (10 most intense, 2θ = 5–70°, sorted by position)
| d (Å) | I_rel |
| --- | --- |
| 5.386 | 30 |
| 3.550 | 100 |
| 3.395 | 84 |
| 2.714 | 40 |
| 2.705 | 70 |
| 2.644 | 29 |
| 2.509 | 24 |
| 2.401 | 24 |
| 1.938 | 19 |
| 1.795 | 25 |

---

For Sm5HgIr2, DFT lattice parameters and positions (GGA-PBE) gives the theoretical powder diffraction line list in this record (Cu Kα).

Unit cell a=8.8344 b=8.8344 c=8.8344 alpha=126.59 beta=126.59 gamma=78.93
Element x y z (fractional)
Sm: 0.0000 0.0000 0.0000
Sm: 0.0275 0.5275 0.8228
Sm: 0.2048 0.0275 0.5000
Sm: 0.2952 0.7952 0.8228
Sm: 0.4725 0.2952 0.5000
Sm: 0.5000 0.5000 0.0000
Sm: 0.5275 0.7048 0.5000
Sm: 0.7048 0.2048 0.1772
Sm: 0.7952 0.9725 0.5000
Sm: 0.9725 0.4725 0.1772
Hg: 0.2500 0.2500 0.0000
Hg: 0.7500 0.7500 0.0000
Ir: 0.1386 0.3614 0.5000
Ir: 0.3614 0.8614 0.2229
Ir: 0.6386 0.1386 0.7771
Ir: 0.8614 0.6386 0.5000

Peak list (10 most intense, 2θ = 5–70°, sorted by position)
| d (Å) | I_rel |
| --- | --- |
| 6.820 | 17 |
| 2.915 | 16 |
| 2.808 | 13 |
| 2.799 | 100 |
| 2.587 | 28 |
| 2.511 | 66 |
| 2.164 | 32 |
| 1.774 | 21 |
| 1.411 | 21 |
| 1.403 | 22 |

---

For CeThSc2, DFT lattice parameters and positions (GGA-PBE) gives the theoretical powder diffraction line list in this record (Cu Kα).

Unit cell a=3.4245 b=3.4245 c=9.4644 alpha=90.00 beta=90.00 gamma=90.00
Element x y z (fractional)
Ce: 0.0000 0.0000 0.0000
Th: 0.0000 0.0000 0.5000
Sc: 0.5000 0.5000 0.2489
Sc: 0.5000 0.5000 0.7511

Peak list (10 most intense, 2θ = 5–70°, sorted by position)
| d (Å) | I_rel |
| --- | --- |
| 4.732 | 33 |
| 3.424 | 31 |
| 2.774 | 100 |
| 2.421 | 34 |
| 2.366 | 16 |
| 2.156 | 18 |
| 1.947 | 14 |
| 1.692 | 23 |
| 1.457 | 28 |
| 1.433 | 13 |